No. 1
This entry pairs a crystal structure of Y3ErRu2 with its calculated X-ray diffraction stick pattern. Radiation: copper Kα. Structure: a crystal structure in Alexandria, relaxed with PBE.
Peak positions follow from Bragg's law for the DFT cell and can differ from measured ones.

Principal peaks in the range 2θ = 10–80°, in order of rising 2θ:
2θ (°), I/Imax, hkl
22.55, 85, 1 2 1
29.39, 48, 1 1 2
35.01, 76, 1 3 2
37.81, 100, 2 4 0
39.42, 36, 2 2 2
65.99, 38, 2 4 4

Structure:
Unit cell a=6.709 b=13.499 c=7.045 alpha=90.00 beta=90.00 gamma=90.00
Space group Ibam (No. 72)
One atom of each set of equivalent atoms:
Y  0.000  0.000  0.250
Y  0.000  0.266  0.250
Er  0.000  0.500  0.000
Ru  0.223  0.134  0.000

No. 2
This entry pairs a crystal structure of YErRu2 with its calculated X-ray diffraction stick pattern. Radiation: copper Kα. Structure: a crystal structure in Alexandria, relaxed with PBE.
Peak positions follow from Bragg's law for the DFT cell and can differ from measured ones.

Principal peaks in the range 2θ = 10–80°, in order of rising 2θ:
2θ (°), I/Imax, hkl
22.71, 6, 1 1 1
37.51, 100, 2 2 0
44.30, 3, 3 1 1
54.09, 17, 4 0 0
59.40, 1, 3 3 1
67.68, 35, 4 2 2

Structure:
Unit cell a=6.782 b=6.782 c=6.782 alpha=90.00 beta=90.00 gamma=90.00
Space group Fm-3m (No. 225)
One atom of each set of equivalent atoms:
Y  0.000  0.000  0.000
Er  0.000  0.000  0.500
Ru  0.250  0.250  0.250

No. 3
This entry pairs a crystal structure of Er2Zn3Ru with its calculated X-ray diffraction stick pattern. Radiation: copper Kα. Structure: a crystal structure in Alexandria, relaxed with PBE.
Peak positions follow from Bragg's law for the DFT cell and can differ from measured ones.

Principal peaks in the range 2θ = 10–80°, in order of rising 2θ:
2θ (°), I/Imax, hkl
33.09, 41, 1 1 1
33.79, 57, 0 2 0
38.91, 45, 1 1 -2
39.51, 100, 3 1 0
39.81, 33, 2 2 -1
64.30, 23, 6 0 -1

Structure:
Unit cell a=9.181 b=5.311 c=5.414 alpha=90.00 beta=124.41 gamma=90.00
Space group C2/m (No. 12)
One atom of each set of equivalent atoms:
Er  0.128  0.000  0.382
Zn  0.000  0.500  0.000
Zn  0.250  0.250  0.000
Ru  0.000  0.500  0.500

No. 4
This entry pairs a crystal structure of ErZn6Ru2 with its calculated X-ray diffraction stick pattern. Radiation: copper Kα. Structure: a crystal structure in Alexandria, relaxed with PBE.
Peak positions follow from Bragg's law for the DFT cell and can differ from measured ones.

Principal peaks in the range 2θ = 10–80°, in order of rising 2θ:
2θ (°), I/Imax, hkl
27.35, 24, 0 1 3
34.74, 25, 0 2 2
38.26, 100, 1 2 1
39.86, 53, 1 1 4
41.14, 61, 2 0 0
43.27, 27, 1 0 5

Structure:
Unit cell a=4.387 b=5.734 c=11.891 alpha=90.00 beta=90.00 gamma=90.00
Space group Immm (No. 71)
One atom of each set of equivalent atoms:
Er  0.000  0.000  0.000
Zn  0.000  0.203  0.500
Zn  0.000  0.241  0.296
Ru  0.000  0.500  0.110

No. 5
This entry pairs a crystal structure of Er2S3 with its calculated X-ray diffraction stick pattern. Radiation: copper Kα. Structure: a crystal structure in Alexandria, relaxed with PBE.
Peak positions follow from Bragg's law for the DFT cell and can differ from measured ones.

Principal peaks in the range 2θ = 10–80°, in order of rising 2θ:
2θ (°), I/Imax, hkl
23.54, 86, 1 0 4
25.08, 73, 2 0 -4
27.13, 100, 0 1 3
36.73, 77, 3 1 -3
40.14, 87, 3 1 3
44.49, 100, 2 1 -7

Structure:
Unit cell a=10.116 b=3.994 c=17.550 alpha=90.00 beta=98.60 gamma=90.00
Space group P2_1/m (No. 11)
One atom of each set of equivalent atoms:
Er  0.013  0.250  0.100
Er  0.049  0.750  0.615
Er  0.311  0.250  0.479
Er  0.312  0.250  0.779
Er  0.330  0.750  0.282
Er  0.376  0.250  0.070
S  0.115  0.750  0.468
S  0.133  0.250  0.969
S  0.137  0.750  0.782
S  0.181  0.250  0.319
S  0.210  0.750  0.132
S  0.231  0.250  0.627
S  0.448  0.250  0.925
S  0.451  0.750  0.424
S  0.493  0.250  0.232

No. 6
This entry pairs a crystal structure of ErS4 with its calculated X-ray diffraction stick pattern. Radiation: copper Kα. Structure: a crystal structure in Alexandria, relaxed with PBE.
Peak positions follow from Bragg's law for the DFT cell and can differ from measured ones.

Principal peaks in the range 2θ = 10–80°, in order of rising 2θ:
2θ (°), I/Imax, hkl
13.76, 100, 0 0 1
21.16, 43, 0 1 0
23.35, 49, 1 0 0
27.10, 46, 1 1 0
27.72, 38, 0 0 2
35.70, 53, 1 -1 1

Structure:
Unit cell a=4.140 b=4.363 c=6.739 alpha=86.38 beta=72.82 gamma=74.25
Space group P-1 (No. 2)
One atom of each set of equivalent atoms:
Er  0.000  0.000  0.000
S  0.179  0.873  0.567
S  0.323  0.400  0.132

No. 7
This entry pairs a crystal structure of Er2S3 with its calculated X-ray diffraction stick pattern. Radiation: copper Kα. Structure: a crystal structure in Alexandria, relaxed with PBE.
Peak positions follow from Bragg's law for the DFT cell and can differ from measured ones.

Principal peaks in the range 2θ = 10–80°, in order of rising 2θ:
2θ (°), I/Imax, hkl
26.45, 100, 1 1 6
34.32, 62, 3 1 0
34.41, 26, 1 0 9
40.90, 54, 2 1 9
49.33, 24, 4 0 6
51.96, 23, 3 2 9

Structure:
Unit cell a=8.264 b=8.264 c=24.715 alpha=90.00 beta=90.00 gamma=90.00
Space group I-42d (No. 122)
One atom of each set of equivalent atoms:
Er  0.000  0.000  0.164
Er  0.117  0.750  0.625
Er  0.140  0.739  0.962
S  0.064  0.682  0.185
S  0.070  0.684  0.857
S  0.079  0.675  0.517

No. 8
This entry pairs a crystal structure of ErSbS3 with its calculated X-ray diffraction stick pattern. Radiation: copper Kα. Structure: a crystal structure in Alexandria, relaxed with PBE.
Peak positions follow from Bragg's law for the DFT cell and can differ from measured ones.

Principal peaks in the range 2θ = 10–80°, in order of rising 2θ:
2θ (°), I/Imax, hkl
17.94, 53, 0 0 2
27.62, 33, 1 1 1
31.46, 50, 2 0 2
31.68, 100, 1 1 -2
45.12, 57, 3 1 0
45.38, 32, 1 1 4

Structure:
Unit cell a=7.019 b=3.923 c=9.891 alpha=90.00 beta=90.77 gamma=90.00
Space group P2_1/m (No. 11)
One atom of each set of equivalent atoms:
Er  0.075  0.250  0.174
Sb  0.412  0.250  0.814
S  0.098  0.250  0.686
S  0.220  0.750  0.009
S  0.422  0.250  0.314

No. 9
This entry pairs a crystal structure of Er3SbS6 with its calculated X-ray diffraction stick pattern. Radiation: copper Kα. Structure: a crystal structure in Alexandria, relaxed with PBE.
Peak positions follow from Bragg's law for the DFT cell and can differ from measured ones.

Principal peaks in the range 2θ = 10–80°, in order of rising 2θ:
2θ (°), I/Imax, hkl
23.71, 71, 1 0 -3
23.89, 100, 3 0 -1
26.32, 77, 1 1 1
27.66, 43, 1 1 -2
30.98, 93, 2 1 1
45.74, 52, 0 2 0

Structure:
Unit cell a=11.177 b=3.968 c=11.259 alpha=90.00 beta=109.29 gamma=90.00
Space group P2_1/m (No. 11)
One atom of each set of equivalent atoms:
Er  0.071  0.250  0.166
Er  0.166  0.750  0.492
Er  0.339  0.250  0.923
Sb  0.490  0.250  0.316
S  0.014  0.250  0.383
S  0.104  0.250  0.937
S  0.230  0.750  0.279
S  0.304  0.750  0.745
S  0.387  0.250  0.533
S  0.423  0.750  0.092

No. 10
This entry pairs a crystal structure of ErSc3S6 with its calculated X-ray diffraction stick pattern. Radiation: copper Kα. Structure: a crystal structure in Alexandria, relaxed with PBE.
Peak positions follow from Bragg's law for the DFT cell and can differ from measured ones.

Principal peaks in the range 2θ = 10–80°, in order of rising 2θ:
2θ (°), I/Imax, hkl
18.51, 81, 0 1 2
25.41, 77, 1 0 4
27.16, 51, 1 1 0
31.13, 75, 2 -1 3
40.99, 100, 1 1 6
47.99, 59, 3 0 0

Structure:
Unit cell a=6.5666 b=6.5666 c=17.8064 alpha=90.00 beta=90.00 gamma=120.00
Space group R3 (No. 146, hexagonal axes)
One atom of each set of equivalent atoms:
Er  0.0000  0.0000  0.0000
Sc  0.0000  0.0000  0.3016
Sc  0.0000  0.0000  0.4955
Sc  0.0000  0.0000  0.8043
S  0.0044  0.6900  0.8970
S  0.0204  0.3105  0.3989

No. 11
This entry pairs a crystal structure of ErSc3S4 with its calculated X-ray diffraction stick pattern. Radiation: copper Kα. Structure: a crystal structure in Alexandria, relaxed with PBE.
Peak positions follow from Bragg's law for the DFT cell and can differ from measured ones.

Principal peaks in the range 2θ = 10–80°, in order of rising 2θ:
2θ (°), I/Imax, hkl
14.47, 34, 1 1 0
28.02, 26, 1 3 0
29.18, 15, 2 2 0
29.34, 14, 0 2 1
33.91, 100, 2 0 1
48.71, 45, 2 4 1

Structure:
Unit cell a=7.506 b=10.577 c=3.723 alpha=90.00 beta=90.00 gamma=90.00
Space group Cmmm (No. 65)
One atom of each set of equivalent atoms:
Er  0.000  0.000  0.000
Sc  0.000  0.500  0.000
Sc  0.250  0.250  0.500
S  0.000  0.254  0.000
S  0.241  0.500  0.500

No. 12
This entry pairs a crystal structure of Er6ScS8 with its calculated X-ray diffraction stick pattern. Radiation: copper Kα. Structure: a crystal structure in Alexandria, relaxed with PBE.
Peak positions follow from Bragg's law for the DFT cell and can differ from measured ones.

Principal peaks in the range 2θ = 10–80°, in order of rising 2θ:
2θ (°), I/Imax, hkl
16.32, 26, 2 0 0
28.46, 67, 2 2 2
32.97, 100, 4 0 0
47.32, 71, 4 4 0
56.15, 33, 6 2 2
78.78, 32, 8 4 0

Structure:
Unit cell a=10.866 b=10.866 c=10.866 alpha=90.00 beta=90.00 gamma=90.00
Space group Fm-3m (No. 225)
One atom of each set of equivalent atoms:
Er  0.000  0.250  0.250
Sc  0.000  0.000  0.000
S  0.000  0.000  0.245
S  0.250  0.250  0.250

No. 13
This entry pairs a crystal structure of ErScSeS with its calculated X-ray diffraction stick pattern. Radiation: copper Kα. Structure: a crystal structure in Alexandria, relaxed with PBE.
Peak positions follow from Bragg's law for the DFT cell and can differ from measured ones.

Principal peaks in the range 2θ = 10–80°, in order of rising 2θ:
2θ (°), I/Imax, hkl
13.26, 52, 0 0 3
28.71, 80, 0 1 2
32.70, 36, 1 0 4
35.42, 100, 0 1 5
41.95, 50, 1 0 7
48.18, 51, 1 1 0

Structure:
Unit cell a=3.7777 b=3.7777 c=20.0307 alpha=90.00 beta=90.00 gamma=120.00
Space group R3m (No. 160, hexagonal axes)
One atom of each set of equivalent atoms:
Er  0.0000  0.0000  0.0000
Sc  0.0000  0.0000  0.1855
Se  0.0000  0.0000  0.4275
S  0.0000  0.0000  0.5903